This entry pairs a crystal structure of Sr2VAs2O9 with its simulated powder X-ray diffraction pattern. Radiation: λ = 1.5418 Å (Cu Kα). Structure: a DFT-relaxed cell (PBE+U, Alexandria).
Kinematic intensities with the Lorentz-polarization factor, no thermal factor.

The 6 most intense peaks (5° ≤ 2θ ≤ 70°), low angle first:
2θ = 27.15°, rel. 51
2θ = 28.23°, rel. 90
2θ = 29.56°, rel. 78
2θ = 30.48°, rel. 100
2θ = 36.78°, rel. 42
2θ = 61.40°, rel. 30

Structure:
a b c (Å): 9.112 9.112 7.007
angles (deg): 102.26 102.26 130.54
Sites, in units of the cell vectors:
Sr 0.045 0.955 0.500
Sr 0.373 0.622 0.001
Sr 0.622 0.373 0.501
Sr 0.955 0.045 0.000
V 0.016 0.524 0.271
V 0.524 0.016 0.771
As 0.159 0.835 0.997
As 0.421 0.575 0.499
As 0.575 0.421 0.999
As 0.835 0.159 0.497
O 0.014 0.216 0.726
O 0.056 0.602 0.020
O 0.212 0.783 0.493
O 0.216 0.014 0.226
O 0.219 0.497 0.266
O 0.308 0.344 0.518
O 0.344 0.308 0.018
O 0.390 0.929 0.976
O 0.494 0.770 0.733
O 0.497 0.219 0.766
O 0.602 0.056 0.520
O 0.651 0.692 0.476
O 0.692 0.651 0.976
O 0.770 0.494 0.233
O 0.782 0.985 0.268
O 0.783 0.212 0.993
O 0.929 0.390 0.476
O 0.985 0.782 0.768